# MnAsIr2
Theoretical XRD peak list, a wavelength of 1.5418 Å. Input: a structure optimized by DFT (GGA-PBE).

Cell lengths 4.055, 4.055, 7.104 Å; angles 90.00, 90.00, 90.00 degrees
Sites, in units of the cell vectors:
Mn 0.000 0.000 0.000
Mn 0.500 0.500 0.500
As 0.000 0.000 0.500
As 0.500 0.500 0.000
Ir 0.000 0.500 0.250
Ir 0.000 0.500 0.750
Ir 0.500 0.000 0.250
Ir 0.500 0.000 0.750

Main lines, by angle (10 to 80 degrees two-theta):
Position (°2θ)	I (rel.)	hkl
25.07	19	0 0 2
31.19	23	1 1 0
40.43	100	1 1 2
44.70	38	2 0 0
51.46	12	0 0 4
65.06	12	2 2 0
70.49	19	2 0 4
79.46	28	3 1 2